Record 1
The following is a simulated powder XRD pattern of Ba4AsSe. It was derived from a cell relaxed with PBE, using Cu Ka.

Principal peaks in the range 10° ≤ 2θ ≤ 80°, low angle first:
two_theta, I/Imax, hkl
15.72, 26.3, 1 1 1
30.36, 100.0, 3 1 1
31.74, 58.5, 2 2 2
48.43, 35.7, 5 1 1
53.05, 34.0, 4 4 0
63.15, 24.0, 6 2 2

Crystal structure
Lattice parameters (Å, degrees): 9.766 9.766 9.766 90.00 90.00 90.00
Space group F-43m (No. 216)
Inequivalent atoms, fractional coordinates:
Ba1 0.125 0.125 0.125 x16
As1 0.000 0.000 0.500 x4
Se1 0.250 0.250 0.750 x4

Record 2
The following is a simulated powder XRD pattern of La2CeSi3Pt12. It was derived from a cell relaxed with PBE, using Cu Ka.

Principal peaks in the range 10° ≤ 2θ ≤ 80°, low angle first:
two_theta, I/Imax, hkl
22.71, 17.1, 1 0 4
31.40, 100.0, 0 2 4
34.37, 22.5, 1 2 2
43.60, 56.4, 2 2 0
46.38, 42.2, 2 0 8
54.72, 16.6, 4 0 4

Crystal structure
Lattice parameters (Å, degrees): 8.3030 8.3030 18.6740 90.00 90.00 120.00
Space group R-3m (No. 166, hexagonal axes)
Inequivalent atoms, fractional coordinates:
La1 0.0000 0.0000 0.1007 x6
Ce1 0.0000 0.0000 0.5000 x3
Si1 0.0000 0.5000 0.0000 x9
Pt1 0.0277 0.5139 0.8722 x18
Pt2 0.0348 0.5174 0.3663 x18

Record 3
The following is a simulated powder XRD pattern of Cd3HgBi3. It was derived from a cell relaxed with PBE, using Cu Ka.

Principal peaks in the range 10° ≤ 2θ ≤ 80°, low angle first:
two_theta, I/Imax, hkl
21.45, 40.9, 2 0 0
26.34, 100.0, 2 1 1
37.60, 28.5, 2 2 2
40.74, 64.1, 3 2 1
43.69, 32.7, 4 0 0
63.51, 21.6, 4 4 0

Crystal structure
Lattice parameters (Å, degrees): 8.287 8.287 8.287 90.00 90.00 90.00
Space group Pm-3n (No. 223)
Inequivalent atoms, fractional coordinates:
Cd1 0.000 0.250 0.500 x6
Hg1 0.000 0.000 0.000 x2
Bi1 0.000 0.500 0.250 x6

Record 4
The following is a simulated powder XRD pattern of BaScClO2. It was derived from a cell relaxed with PBE, using Cu Ka.

Principal peaks in the range 10° ≤ 2θ ≤ 80°, low angle first:
two_theta, I/Imax, hkl
13.85, 54.3, 0 0 1
25.93, 100.0, 1 0 1
31.04, 40.3, 1 1 0
35.70, 63.4, 1 0 2
52.19, 28.0, 2 1 1
58.28, 28.8, 2 1 2

Crystal structure
Lattice parameters (Å, degrees): 4.075 4.075 6.394 90.00 90.00 90.00
Space group P4mm (No. 99)
Inequivalent atoms, fractional coordinates:
Ba1 0.000 0.000 0.000 x1
Sc1 0.500 0.500 0.333 x1
Cl1 0.500 0.500 0.735 x1
O1 0.000 0.500 0.248 x2

Record 5
The following is a simulated powder XRD pattern of LiMgGaHg. It was derived from a cell relaxed with PBE, using Cu Ka.

Principal peaks in the range 10° ≤ 2θ ≤ 80°, low angle first:
two_theta, I/Imax, hkl
23.08, 57.1, 1 0 1
23.40, 50.3, 0 0 2
28.23, 63.9, 1 1 0
36.98, 100.0, 1 1 2
40.35, 39.3, 2 0 0
47.17, 32.2, 2 0 2

Crystal structure
Lattice parameters (Å, degrees): 4.470 4.470 7.605 90.00 90.00 90.00
Space group I-4m2 (No. 119)
Inequivalent atoms, fractional coordinates:
Li1 0.000 0.000 0.000 x2
Mg1 0.000 0.000 0.500 x2
Ga1 0.000 0.500 0.750 x2
Hg1 0.000 0.500 0.250 x2

Record 6
The following is a simulated powder XRD pattern of Ta3Tc2Mo3. It was derived from a cell relaxed with PBE, using Cu Ka.

Principal peaks in the range 10° ≤ 2θ ≤ 80°, low angle first:
two_theta, I/Imax, hkl
38.15, 100.0, 1 1 1
39.05, 68.1, 2 1 0
41.02, 52.5, 2 0 1
54.18, 19.2, 3 1 0
62.14, 36.1, 3 1 1
72.22, 21.9, 2 1 2

Crystal structure
Lattice parameters (Å, degrees): 7.0476 7.0476 3.1760 90.00 90.00 120.00
Space group P-62m (No. 189)
Inequivalent atoms, fractional coordinates:
Ta1 0.0000 0.4106 0.0000 x3
Tc1 0.3333 0.6667 0.5000 x2
Mo1 0.0000 0.7927 0.5000 x3

Record 7
The following is a simulated powder XRD pattern of Li4Y3BiSe8. It was derived from a cell relaxed with PBE, using Cu Ka.

Principal peaks in the range 10° ≤ 2θ ≤ 80°, low angle first:
two_theta, I/Imax, hkl
13.57, 34.8, 0 0 3
25.52, 28.0, 0 2 1
31.14, 100.0, 0 2 4
44.23, 37.5, 2 2 0
45.01, 35.5, 2 0 8
55.08, 19.4, 4 0 4

Crystal structure
Lattice parameters (Å, degrees): 8.1918 8.1918 19.5750 90.00 90.00 120.00
Space group R-3m (No. 166, hexagonal axes)
Inequivalent atoms, fractional coordinates:
Li1 0.0000 0.0000 0.0000 x3
Li2 0.0000 0.5000 0.0000 x9
Y1 0.0000 0.5000 0.5000 x9
Bi1 0.0000 0.0000 0.5000 x3
Se1 0.0000 0.0000 0.2506 x6
Se2 0.0052 0.5026 0.7476 x18

Record 8
The following is a simulated powder XRD pattern of Sr2CaZn2Sn2P4O16. It was derived from a cell relaxed with PBE, using Cu Ka.

Principal peaks in the range 10° ≤ 2θ ≤ 80°, low angle first:
two_theta, I/Imax, hkl
19.12, 56.6, 0 1 -1
23.16, 74.9, 1 0 2
26.25, 100.0, 0 2 2
29.16, 58.1, 2 0 1
30.83, 69.2, 1 -1 2
31.19, 62.1, 1 2 3

Crystal structure
Lattice parameters (Å, degrees): 6.400 7.968 9.345 65.46 72.33 75.20
Space group P-1 (No. 2)
Inequivalent atoms, fractional coordinates:
Sr1 0.197 0.128 0.059 x2
Ca1 0.500 0.500 0.000 x1
Zn1 0.077 0.254 0.576 x2
Sn1 0.484 0.323 0.483 x2
P1 0.022 0.525 0.741 x2
P2 0.383 0.913 0.788 x2
O1 0.108 0.582 0.304 x2
O2 0.110 0.695 0.581 x2
O3 0.142 0.022 0.784 x2
O4 0.148 0.398 0.135 x2
O5 0.226 0.397 0.803 x2
O6 0.406 0.839 0.967 x2
O7 0.408 0.736 0.749 x2
O8 0.434 0.962 0.317 x2

Record 9
The following is a simulated powder XRD pattern of Sr6P2PdN. It was derived from a cell relaxed with PBE, using Cu Ka.

Principal peaks in the range 10° ≤ 2θ ≤ 80°, low angle first:
two_theta, I/Imax, hkl
27.26, 100.0, 1 2 -2
28.18, 77.4, 1 0 2
28.72, 86.1, 2 1 -3
30.87, 50.4, 1 2 1
42.71, 30.8, 3 1 -1
47.90, 34.3, 1 4 -1

Crystal structure
Lattice parameters (Å, degrees): 7.196 7.874 12.583 90.00 123.68 90.00
Space group P2_1/c (No. 14)
Inequivalent atoms, fractional coordinates:
Sr1 0.089 0.056 0.230 x4
Sr2 0.236 0.707 0.072 x4
Sr3 0.362 0.170 0.067 x4
P1 0.292 0.092 0.753 x4
Pd1 0.500 0.000 0.500 x2
N1 0.000 0.000 0.000 x2

Record 10
The following is a simulated powder XRD pattern of Zr2Sc2Ir. It was derived from a cell relaxed with PBE, using Cu Ka.

Principal peaks in the range 10° ≤ 2θ ≤ 80°, low angle first:
two_theta, I/Imax, hkl
11.47, 68.3, 0 0 2
22.45, 52.2, 0 2 2
23.06, 33.5, 0 0 4
37.39, 100.0, 2 2 2
37.77, 40.0, 2 0 4
40.15, 41.4, 0 2 6

Crystal structure
Lattice parameters (Å, degrees): 6.055 9.228 15.427 90.00 90.00 90.00
Space group Fmmm (No. 69)
Inequivalent atoms, fractional coordinates:
Zr1 0.000 0.000 0.198 x8
Zr2 0.209 0.000 0.000 x8
Sc1 0.000 0.198 0.393 x16
Ir1 0.250 0.250 0.250 x8

Record 11
The following is a simulated powder XRD pattern of La2ScUAs4. It was derived from a cell relaxed with PBE, using Cu Ka.

Principal peaks in the range 10° ≤ 2θ ≤ 80°, low angle first:
two_theta, I/Imax, hkl
26.19, 11.0, 1 1 -1
30.27, 100.0, 1 1 1
43.18, 35.9, 2 0 2
43.41, 12.6, 0 2 0
43.52, 25.0, 3 1 -1
53.89, 19.6, 4 0 0

Crystal structure
Lattice parameters (Å, degrees): 7.199 4.169 7.268 90.00 109.16 90.00
Space group P2/m (No. 10)
Inequivalent atoms, fractional coordinates:
La1 0.000 0.000 0.000 x1
La2 0.500 0.500 0.000 x1
Sc1 0.000 0.500 0.500 x1
U1 0.500 0.000 0.500 x1
As1 0.239 0.000 0.723 x2
As2 0.253 0.500 0.274 x2

Record 12
The following is a simulated powder XRD pattern of Hf2ScCS. It was derived from a cell relaxed with PBE, using Cu Ka.

Principal peaks in the range 10° ≤ 2θ ≤ 80°, low angle first:
two_theta, I/Imax, hkl
23.66, 52.0, 0 0 1
25.37, 54.2, 1 1 0
34.97, 100.0, 1 1 1
36.18, 63.0, 2 0 0
43.69, 42.2, 2 0 1
64.29, 34.0, 3 1 1

Crystal structure
Lattice parameters (Å, degrees): 4.965 4.965 3.760 90.00 90.00 90.00
Space group P4/mmm (No. 123)
Inequivalent atoms, fractional coordinates:
Hf1 0.000 0.500 0.000 x2
Sc1 0.000 0.000 0.500 x1
C1 0.500 0.500 0.500 x1
S1 0.500 0.500 0.000 x1

Record 13
The following is a simulated powder XRD pattern of Sr3Sn4. It was derived from a cell relaxed with PBE, using Cu Ka.

Principal peaks in the range 10° ≤ 2θ ≤ 80°, low angle first:
two_theta, I/Imax, hkl
28.55, 48.7, 3 1 0
29.93, 100.0, 1 1 4
33.38, 99.5, 3 1 3
34.31, 47.4, 0 0 6
36.09, 50.8, 0 2 0
50.69, 27.0, 4 2 3

Crystal structure
Lattice parameters (Å, degrees): 12.055 4.977 15.698 90.00 90.00 90.00
Space group Cm (No. 8)
Inequivalent atoms, fractional coordinates:
Sr1 0.000 0.000 0.000 x2
Sr2 0.000 0.000 0.302 x2
Sr3 0.092 0.500 0.500 x2
Sr4 0.092 0.500 0.802 x2
Sr5 0.283 0.000 0.151 x2
Sr6 0.309 0.000 0.651 x2
Sn1 0.029 0.000 0.651 x2
Sn2 0.064 0.500 0.151 x2
Sn3 0.212 0.500 0.299 x2
Sn4 0.213 0.500 0.003 x2
Sn5 0.297 0.000 0.400 x2
Sn6 0.297 0.000 0.901 x2
Sn7 0.379 0.500 0.503 x2
Sn8 0.380 0.500 0.799 x2